Structure and simulated powder diffraction line list of Na2CaTiP2SO12 (DFT lattice parameters and positions (GGA-PBE); Cu Kα, 1.54184 Å).
Kinematic intensities with the Lorentz-polarization factor, no thermal factor.

Top 8 peaks for 2θ = 10–80°, in order of rising 2θ:
| 2θ/deg | d/Å | Rel. int. |
| --- | --- | --- |
| 13.68 | 6.474 | 205 |
| 19.61 | 4.527 | 212 |
| 22.70 | 3.918 | 460 |
| 22.99 | 3.869 | 1000 |
| 30.51 | 2.930 | 488 |
| 30.84 | 2.899 | 307 |
| 31.04 | 2.881 | 324 |
| 34.36 | 2.610 | 293 |

Cell and atoms:
abc: 15.733 9.028 9.288
angles: 90.00 125.46 90.00
Space group Cc (No. 9)
Inequivalent atoms, fractional coordinates:
1 Na 0.000 0.076 0.000 [4 per cell]
2 Na 0.075 0.269 0.741 [4 per cell]
3 Ca 0.211 0.248 0.179 [4 per cell]
4 Ti 0.405 0.261 0.787 [4 per cell]
5 P 0.156 0.116 0.476 [4 per cell]
6 P 0.315 0.453 0.983 [4 per cell]
7 S 0.456 0.091 0.491 [4 per cell]
8 O 0.048 0.343 0.009 [4 per cell]
9 O 0.063 0.197 0.466 [4 per cell]
10 O 0.147 0.048 0.005 [4 per cell]
11 O 0.148 0.135 0.307 [4 per cell]
12 O 0.249 0.344 0.001 [4 per cell]
13 O 0.254 0.451 0.323 [4 per cell]
14 O 0.267 0.186 0.639 [4 per cell]
15 O 0.366 0.154 0.329 [4 per cell]
16 O 0.385 0.441 0.656 [4 per cell]
17 O 0.399 0.365 0.968 [4 per cell]
18 O 0.454 0.130 0.647 [4 per cell]
19 O 0.458 0.074 0.978 [4 per cell]